[1]
This entry pairs a crystal structure of Ho3Al11 with its computed XRD peak list. Radiation: Cu Ka. Structure: a DFT-relaxed cell (GGA-PBE, Alexandria).
Intensities are scaled so that the largest is 100.

Top 10 peaks for 15° ≤ 2θ ≤ 90°, sorted by position:
2θ/deg  I_rel
17.88  39
22.67  100
29.58  38
34.29  73
34.78  94
36.21  25
42.32  36
48.53  23
50.73  25
55.56  33

Atomic structure:
Lattice parameters (Å, degrees): 8.3786 8.3786 8.3786 150.46 107.39 80.28
Atoms (fractional coordinates):
1 Ho 0.0000 0.0000 0.0000
2 Ho 0.3139 0.3139 0.0000
3 Ho 0.6861 0.6861 0.0000
4 Al 0.0337 0.6627 0.3710
5 Al 0.1395 0.8613 0.2782
6 Al 0.2917 0.6627 0.6290
7 Al 0.2928 0.5000 0.7928
8 Al 0.4169 0.1387 0.2782
9 Al 0.5000 0.0000 0.5000
10 Al 0.5831 0.8613 0.7218
11 Al 0.7072 0.5000 0.2072
12 Al 0.7083 0.3373 0.3710
13 Al 0.8605 0.1387 0.7218
14 Al 0.9663 0.3373 0.6290


[2]
This entry pairs a crystal structure of ReIr with its computed XRD peak list. Radiation: Cu Ka. Structure: a DFT-relaxed cell (GGA-PBE, Alexandria).
Intensities are scaled so that the largest is 100.

Top 10 peaks for 15° ≤ 2θ ≤ 90°, sorted by position:
2θ/deg  I_rel
37.56  24
40.61  26
42.90  100
56.50  15
67.78  17
75.47  19
80.17  3
82.11  21
83.65  15
87.89  3

Atomic structure:
Lattice parameters (Å, degrees): 2.7650 2.7650 8.8868 90.00 90.00 120.00
Atoms (fractional coordinates):
1 Re 0.3333 0.6667 0.3753
2 Re 0.6667 0.3333 0.6247
3 Ir 0.3333 0.6667 0.8697
4 Ir 0.6667 0.3333 0.1303


[3]
This entry pairs a crystal structure of La3Hg5 with its computed XRD peak list. Radiation: Cu Ka. Structure: a DFT-relaxed cell (GGA-PBE, Alexandria).
Intensities are scaled so that the largest is 100.

Top 10 peaks for 15° ≤ 2θ ≤ 90°, sorted by position:
2θ/deg  I_rel
29.41  24
30.00  52
32.49  80
32.88  54
33.41  100
36.05  52
42.20  30
53.89  22
54.77  25
62.34  22

Atomic structure:
Lattice parameters (Å, degrees): 12.3243 9.2224 9.2347 83.78 48.07 48.15
Atoms (fractional coordinates):
1 La 0.0000 0.0000 0.0000
2 La 0.3306 0.3306 0.6694
3 La 0.4159 0.4159 0.0841
4 La 0.5001 0.8308 0.1692
5 La 0.8308 0.5001 0.4999
6 La 0.9159 0.9159 0.5841
7 Hg 0.0873 0.4290 0.5710
8 Hg 0.2438 0.9032 0.0968
9 Hg 0.4018 0.5871 0.4129
10 Hg 0.4154 0.9152 0.5846
11 Hg 0.4290 0.0873 0.9127
12 Hg 0.5871 0.4018 0.5982
13 Hg 0.7436 0.9293 0.0707
14 Hg 0.9032 0.2438 0.7562
15 Hg 0.9152 0.4154 0.0848
16 Hg 0.9293 0.7436 0.2564